1.
SrCeMg6: computed powder diffractogram (a wavelength of 1.5418 Å), based on a crystal structure in the Materials Project, relaxed with PBE.

The 8 most intense peaks (2θ = 10–90°), low angle first:
two_theta	intensity
14.7	65
22.0	30
22.4	33
31.0	29
33.0	32
33.9	100
35.0	28
59.5	24

Crystal structure
```
SrCeMg6
1.0
5.436 0.000 0.000
0.000 3.537 5.823
0.000 -3.537 5.823
Sr Ce Mg
1 1 6
Direct
0.000 0.000 0.000
0.500 0.194 0.194
0.000 0.011 0.504
0.000 0.504 0.011
0.000 0.506 0.506
0.500 0.187 0.672
0.500 0.672 0.187
0.500 0.685 0.685
```

---

2.
CaTaAlO5: computed powder diffractogram (a wavelength of 1.5418 Å), based on a crystal structure in the Materials Project, relaxed with PBE.

The 8 most intense peaks (2θ = 10–90°), low angle first:
two_theta	intensity
17.5	100
19.6	33
26.2	87
29.1	37
33.0	40
33.1	42
42.4	18
58.7	18

Crystal structure
```
CaTaAlO5
1.0
6.722 0.000 0.000
0.000 9.036 0.000
-3.679 0.000 6.795
Ca Ta Al O
4 4 4 20
Direct
0.206 0.164 0.211
0.206 0.336 0.711
0.794 0.664 0.289
0.794 0.836 0.789
0.000 0.000 0.500
0.000 0.500 0.000
0.500 0.000 0.000
0.500 0.500 0.500
0.260 0.685 0.751
0.260 0.815 0.251
0.740 0.185 0.749
0.740 0.315 0.249
0.015 0.703 0.115
0.015 0.797 0.615
0.213 0.558 0.901
0.213 0.942 0.401
0.256 0.076 0.747
0.256 0.424 0.247
0.264 0.564 0.571
0.264 0.936 0.071
0.497 0.698 0.380
0.497 0.802 0.880
0.503 0.198 0.120
0.503 0.302 0.620
0.736 0.064 0.929
0.736 0.436 0.429
0.744 0.576 0.753
0.744 0.924 0.253
0.787 0.058 0.599
0.787 0.442 0.099
0.985 0.203 0.385
0.985 0.297 0.885
```

---

3.
Lu6Mn23: computed powder diffractogram (a wavelength of 1.5418 Å), based on a crystal structure in the Materials Project, relaxed with PBE.

The 8 most intense peaks (2θ = 10–90°), low angle first:
two_theta	intensity
26.1	33
30.2	22
33.0	32
37.2	36
39.5	100
43.2	87
64.4	23
67.0	28

Crystal structure
```
Lu6Mn23
1.0
0.000 5.924 5.924
5.924 0.000 5.924
5.924 5.924 0.000
Lu Mn
6 23
Direct
0.204 0.204 0.796
0.204 0.796 0.204
0.204 0.796 0.796
0.796 0.204 0.204
0.796 0.204 0.796
0.796 0.796 0.204
0.000 0.000 0.500
0.000 0.500 0.000
0.000 0.500 0.500
0.136 0.621 0.621
0.177 0.177 0.177
0.177 0.177 0.470
0.177 0.470 0.177
0.379 0.379 0.379
0.379 0.379 0.864
0.379 0.864 0.379
0.470 0.177 0.177
0.500 0.000 0.000
0.500 0.000 0.500
0.500 0.500 0.000
0.500 0.500 0.500
0.530 0.823 0.823
0.621 0.136 0.621
0.621 0.621 0.136
0.621 0.621 0.621
0.823 0.530 0.823
0.823 0.823 0.530
0.823 0.823 0.823
0.864 0.379 0.379
```